(1)
Hf2PdRh3: simulated X-ray diffraction stick pattern (λ = 1.5418 Å (Cu Kα)), based on a crystal structure in Alexandria, relaxed with PBE.
No peak broadening, texture or thermal motion is included.

Structural model:
Cell lengths 8.4374, 8.4374, 8.4374 Å; angles 119.86, 119.86, 90.24 degrees
Fractional positions:
1 Hf 0.2737 0.3249 0.5512
2 Hf 0.2737 0.7225 0.9488
3 Hf 0.2775 0.7263 0.5512
4 Hf 0.3249 0.2737 0.0512
5 Hf 0.6751 0.7263 0.9488
6 Hf 0.7225 0.2737 0.4488
7 Hf 0.7263 0.2775 0.0512
8 Hf 0.7263 0.6751 0.4488
9 Pd 0.0798 0.3298 0.7500
10 Pd 0.3298 0.0798 0.2500
11 Pd 0.6702 0.9202 0.7500
12 Pd 0.9202 0.6702 0.2500
13 Rh 0.0000 0.5000 0.5000
14 Rh 0.0863 0.3363 0.1727
15 Rh 0.0863 0.9137 0.7500
16 Rh 0.3363 0.0863 0.6727
17 Rh 0.3363 0.6637 0.2500
18 Rh 0.5000 0.0000 0.0000
19 Rh 0.5000 0.5000 0.0000
20 Rh 0.5000 0.5000 0.5000
21 Rh 0.6637 0.3363 0.7500
22 Rh 0.6637 0.9137 0.3273
23 Rh 0.9137 0.0863 0.2500
24 Rh 0.9137 0.6637 0.8273

The 10 most intense peaks (10° ≤ 2θ ≤ 90°), by angle:
d = 6.894 Å, 2θ 12.8, rel. 24; d = 3.447 Å, 2θ 25.8, rel. 32; d = 2.437 Å, 2θ 36.9, rel. 25; d = 2.300 Å, 2θ 39.2, rel. 87; d = 2.292 Å, 2θ 39.3, rel. 29; d = 2.111 Å, 2θ 42.8, rel. 100; d = 1.556 Å, 2θ 59.4, rel. 18; d = 1.409 Å, 2θ 66.3, rel. 8; d = 1.379 Å, 2θ 68.0, rel. 15; d = 1.155 Å, 2θ 83.7, rel. 21

---

(2)
VMoPt: simulated X-ray diffraction stick pattern (λ = 1.5418 Å (Cu Kα)), based on a crystal structure in Alexandria, relaxed with PBE.
No peak broadening, texture or thermal motion is included.

Structural model:
Cell lengths 4.7267, 4.7267, 5.4979 Å; angles 102.48, 102.48, 49.11 degrees
Fractional positions:
1 V 0.0000 0.0000 0.0000
2 V 0.6633 0.6633 0.8246
3 Mo 0.3051 0.3051 0.6543
4 Mo 0.9680 0.9680 0.5148
5 Pt 0.3170 0.3170 0.1409
6 Pt 0.6406 0.6406 0.3133

The 10 most intense peaks (10° ≤ 2θ ≤ 90°), by angle:
d = 5.341 Å, 2θ 16.6, rel. 34; d = 3.108 Å, 2θ 28.7, rel. 35; d = 2.272 Å, 2θ 39.7, rel. 100; d = 2.247 Å, 2θ 40.1, rel. 96; d = 2.040 Å, 2θ 44.4, rel. 39; d = 1.964 Å, 2θ 46.2, rel. 33; d = 1.875 Å, 2θ 48.6, rel. 26; d = 1.415 Å, 2θ 66.0, rel. 22; d = 1.356 Å, 2θ 69.3, rel. 18; d = 1.222 Å, 2θ 78.2, rel. 13

---

(3)
Sm8Tl3Te2: simulated X-ray diffraction stick pattern (λ = 1.5418 Å (Cu Kα)), based on a crystal structure in Alexandria, relaxed with PBE.
No peak broadening, texture or thermal motion is included.

Structural model:
Cell lengths 8.8372, 8.8372, 6.3250 Å; angles 90.73, 90.73, 59.32 degrees
Fractional positions:
1 Sm 0.0796 0.6731 0.1272
2 Sm 0.0929 0.0929 0.3665
3 Sm 0.3218 0.3218 0.6174
4 Sm 0.3269 0.9204 0.8728
5 Sm 0.6731 0.0796 0.1272
6 Sm 0.6782 0.6782 0.3826
7 Sm 0.9071 0.9071 0.6335
8 Sm 0.9204 0.3269 0.8728
9 Tl 0.3183 0.6817 0.5000
10 Tl 0.5000 0.5000 0.0000
11 Tl 0.6817 0.3183 0.5000
12 Te 0.2650 0.2650 0.1023
13 Te 0.7350 0.7350 0.8977

The 10 most intense peaks (10° ≤ 2θ ≤ 90°), by angle:
d = 3.268 Å, 2θ 27.3, rel. 81; d = 2.910 Å, 2θ 30.7, rel. 100; d = 2.898 Å, 2θ 30.9, rel. 72; d = 2.636 Å, 2θ 34.0, rel. 64; d = 2.614 Å, 2θ 34.3, rel. 58; d = 2.608 Å, 2θ 34.4, rel. 77; d = 2.587 Å, 2θ 34.7, rel. 43; d = 2.533 Å, 2θ 35.4, rel. 25; d = 1.694 Å, 2θ 54.1, rel. 30; d = 1.469 Å, 2θ 63.3, rel. 23